No. 1
This entry pairs a crystal structure of Na2CaTiF8 with its calculated powder XRD pattern. Radiation: Cu Ka. Structure: the GGA-PBE geometry in Alexandria.
Kinematic intensities with the Lorentz-polarization factor, no thermal factor.

Atomic structure:
```
data_Na2CaTiF8
_chemical_formula_sum 'Na2 Ca1 Ti1 F8'
_symmetry_space_group_name_H-M 'P 1 2/m 1'
_symmetry_Int_Tables_number 10
_cell_length_a 5.0235
_cell_length_b 6.8812
_cell_length_c 5.1670
_cell_angle_alpha 90.00
_cell_angle_beta 91.21
_cell_angle_gamma 90.00
loop_
_symmetry_equiv_pos_as_xyz
'x,y,z'
'-x,-y,-z'
'-x,y,-z'
'x,-y,z'
loop_
_atom_site_label
_atom_site_fract_x
_atom_site_fract_y
_atom_site_fract_z
Na1 0.0000 0.2484 0.0000
Ca1 0.5000 0.0000 0.5000
Ti1 0.5000 0.5000 0.5000
F1 0.1967 0.0000 0.2032
F2 0.2347 0.5000 0.2376
F3 0.3199 0.2964 0.6752
```

Principal peaks in the range 10 to 90 degrees two-theta, sorted by position:
2theta  I_rel
17.16  35
17.66  28
24.46  100
24.99  71
31.23  31
31.52  30
35.92  62
47.30  37
47.90  55
51.27  27

---

No. 2
This entry pairs a crystal structure of Na2CaTlF with its calculated powder XRD pattern. Radiation: Cu Ka. Structure: the GGA-PBE geometry in Alexandria.
Kinematic intensities with the Lorentz-polarization factor, no thermal factor.

Atomic structure:
```
data_Na2CaTlF
_chemical_formula_sum 'Na2 Ca1 Tl1 F1'
_symmetry_space_group_name_H-M 'P 4/m m m'
_symmetry_Int_Tables_number 123
_symmetry_space_group_name_Hall '-P 4 2'
_cell_length_a 5.0982
_cell_length_b 5.0982
_cell_length_c 4.6183
_cell_angle_alpha 90.00
_cell_angle_beta 90.00
_cell_angle_gamma 90.00
loop_
_atom_site_label
_atom_site_fract_x
_atom_site_fract_y
_atom_site_fract_z
Na1 0.0000 0.5000 0.0000
Ca1 0.0000 0.0000 0.5000
Tl1 0.5000 0.5000 0.5000
F1 0.0000 0.0000 0.0000
```

Principal peaks in the range 10 to 90 degrees two-theta, sorted by position:
2theta  I_rel
17.39  50
19.22  33
24.70  57
26.03  68
31.48  100
35.21  49
40.42  21
44.31  34
53.55  28
60.86  30